The following is a theoretical powder X-ray diffraction pattern of Tm2ThH8. It was derived from a DFT-relaxed cell (PBE, Alexandria), using Cu Kα X-rays.
Kinematic intensities with the Lorentz-polarization factor, no thermal factor.

Atomic structure:
```
Tm2ThH8
1.0
-1.7886 2.7182 5.4067
1.7886 -2.7182 5.4067
1.7886 2.7182 -5.4067
Tm Th H
2 1 8
Cartesian
0.0000 0.0000 1.8249
0.0000 0.0000 8.9884
0.0000 0.0000 5.4067
1.7886 1.2773 -1.8232
0.0000 1.1709 0.0000
1.7886 0.0000 3.7424
1.7886 1.2773 1.8232
0.0000 1.4409 3.5834
0.0000 2.7182 1.6642
0.0000 4.2655 0.0000
0.0000 1.4409 7.2299
```

Peak list (10 most intense, 10 to 80 degrees two-theta, by angle)
2θ 29.74, rel. 100
2θ 29.90, rel. 99
2θ 32.95, rel. 38
2θ 35.35, rel. 63
2θ 49.10, rel. 53
2θ 56.92, rel. 33
2θ 59.94, rel. 28
2θ 60.22, rel. 28
2θ 61.76, rel. 13
2θ 62.12, rel. 13

The following is a theoretical powder X-ray diffraction pattern of TmTh2H8. It was derived from a DFT-relaxed cell (PBE, Alexandria), using Cu Kα X-rays.
Kinematic intensities with the Lorentz-polarization factor, no thermal factor.

Atomic structure:
```
TmTh2H8
1.0
-1.9541 2.4023 6.0713
1.9541 -2.4023 6.0713
1.9541 2.4023 -6.0713
Tm Th H
1 2 8
Cartesian
0.0000 0.0000 0.0000
0.0000 0.0000 4.0413
0.0000 0.0000 8.1014
1.9541 -1.2553 4.2316
1.9541 0.0000 2.4539
1.9541 1.1710 0.0000
0.0000 1.1470 1.8397
1.9541 1.2553 4.2316
0.0000 1.2312 6.0713
0.0000 2.4023 3.6174
0.0000 3.6575 1.8397
```

Peak list (10 most intense, 10 to 80 degrees two-theta, by angle)
2θ 28.84, rel. 100
2θ 29.46, rel. 95
2θ 31.83, rel. 77
2θ 37.44, rel. 25
2θ 44.78, rel. 16
2θ 46.47, rel. 14
2θ 49.94, rel. 47
2θ 54.52, rel. 35
2θ 55.62, rel. 33
2θ 59.75, rel. 13

The following is a theoretical powder X-ray diffraction pattern of Th2UH8. It was derived from a DFT-relaxed cell (PBE, Alexandria), using Cu Kα X-rays.
Kinematic intensities with the Lorentz-polarization factor, no thermal factor.

Atomic structure:
```
Th2UH8
1.0
-1.7486 3.1198 5.2655
1.7486 -3.1198 5.2655
1.7486 3.1198 -5.2655
Th U H
2 1 8
Cartesian
0.0000 0.0000 1.7568
0.0000 0.0000 8.7743
0.0000 0.0000 5.2655
1.7486 1.5700 -1.7027
0.0000 1.5733 0.0000
1.7486 0.0000 3.5616
1.7486 1.5700 1.7027
0.0000 1.5498 3.5628
0.0000 3.1198 1.7040
0.0000 4.6664 0.0000
0.0000 1.5498 6.9683
```

Peak list (10 most intense, 10 to 80 degrees two-theta, by angle)
2θ 28.61, rel. 26
2θ 29.23, rel. 100
2θ 36.26, rel. 28
2θ 46.82, rel. 29
2θ 51.07, rel. 22
2θ 60.89, rel. 13
2θ 61.04, rel. 13
2θ 71.47, rel. 8
2θ 75.98, rel. 7
2θ 76.11, rel. 7

The following is a theoretical powder X-ray diffraction pattern of ThVH4. It was derived from a DFT-relaxed cell (PBE, Alexandria), using Cu Kα X-rays.
Kinematic intensities with the Lorentz-polarization factor, no thermal factor.

Atomic structure:
```
ThVH4
1.0
2.2785 -5.6543 0.0000
2.2785 5.6543 0.0000
0.0000 0.0000 4.6675
Th V H
2 2 8
Cartesian
2.2785 4.0753 3.5006
2.2785 -4.0753 1.1669
2.2785 0.6623 3.5006
2.2785 -0.6623 1.1669
1.0608 1.9506 3.5006
2.2785 1.1011 0.4575
2.2785 1.1011 1.8762
1.0608 -1.9506 1.1669
3.4962 1.9506 3.5006
2.2785 -1.1011 2.7913
2.2785 -1.1011 4.2100
3.4962 -1.9506 1.1669
```

Peak list (10 most intense, 10 to 80 degrees two-theta, by angle)
2θ 21.02, rel. 24
2θ 24.73, rel. 67
2θ 28.49, rel. 100
2θ 30.78, rel. 55
2θ 31.65, rel. 23
2θ 36.43, rel. 34
2θ 38.58, rel. 24
2θ 39.55, rel. 22
2θ 47.21, rel. 26
2θ 50.14, rel. 29

The following is a theoretical powder X-ray diffraction pattern of Y2Th4H. It was derived from a DFT-relaxed cell (PBE, Alexandria), using Cu Kα X-rays.
Kinematic intensities with the Lorentz-polarization factor, no thermal factor.

Atomic structure:
```
Y2Th4H
1.0
-2.4704 2.4704 8.5990
2.4704 -2.4704 8.5990
2.4704 2.4704 -8.5990
Y Th H
2 4 1
Cartesian
0.0000 0.0000 2.4864
0.0000 0.0000 14.7116
2.4704 0.0000 0.0000
0.0000 0.0000 5.9864
0.0000 2.4704 0.0000
0.0000 0.0000 11.2116
0.0000 0.0000 8.5990
```

Peak list (10 most intense, 10 to 80 degrees two-theta, by angle)
2θ 10.29, rel. 26
2θ 27.56, rel. 71
2θ 31.20, rel. 29
2θ 33.04, rel. 100
2θ 36.37, rel. 49
2θ 48.66, rel. 34
2θ 52.38, rel. 18
2θ 59.95, rel. 23
2θ 62.24, rel. 17
2θ 63.33, rel. 32

The following is a theoretical powder X-ray diffraction pattern of YThH2. It was derived from a DFT-relaxed cell (PBE, Alexandria), using Cu Kα X-rays.
Kinematic intensities with the Lorentz-polarization factor, no thermal factor.

Atomic structure:
```
YThH2
1.0
1.7479 1.0092 6.1545
-1.7479 1.0092 6.1545
0.0000 -2.0183 6.1545
Y Th H
1 1 2
Cartesian
0.0000 0.0000 0.0000
0.0000 0.0000 15.2283
0.0000 0.0000 7.4529
0.0000 0.0000 10.9558
```

Peak list (10 most intense, 10 to 80 degrees two-theta, by angle)
2θ 14.39, rel. 41
2θ 29.02, rel. 45
2θ 29.91, rel. 100
2θ 31.09, rel. 41
2θ 35.46, rel. 39
2θ 38.45, rel. 60
2θ 45.62, rel. 27
2θ 52.34, rel. 28
2θ 60.96, rel. 34
2θ 63.36, rel. 15

The following is a theoretical powder X-ray diffraction pattern of ThZr2H7. It was derived from a DFT-relaxed cell (PBE, Alexandria), using Cu Kα X-rays.
Kinematic intensities with the Lorentz-polarization factor, no thermal factor.

Atomic structure:
```
ThZr2H7
1.0
0.0000 4.6528 4.6528
4.6528 0.0000 4.6528
4.6528 4.6528 0.0000
Th Zr H
2 4 14
Cartesian
1.1632 1.1632 1.1632
8.1423 8.1423 8.1423
4.6528 2.3264 2.3264
2.3264 4.6528 2.3264
2.3264 2.3264 4.6528
4.6528 4.6528 4.6528
3.4896 3.4896 1.1400
3.4896 1.1400 3.4896
5.8391 3.4896 3.4896
5.8160 5.8160 3.4664
5.8160 3.4664 5.8160
8.1655 5.8160 5.8160
3.4896 3.4896 3.4896
5.8160 5.8160 5.8160
1.1400 3.4896 3.4896
3.4896 5.8391 3.4896
3.4896 3.4896 5.8391
3.4664 5.8160 5.8160
5.8160 8.1655 5.8160
5.8160 5.8160 8.1655
```

Peak list (10 most intense, 10 to 80 degrees two-theta, by angle)
2θ 27.10, rel. 59
2θ 31.90, rel. 100
2θ 33.36, rel. 17
2θ 47.89, rel. 26
2θ 51.00, rel. 36
2θ 55.89, rel. 28
2θ 63.20, rel. 12
2θ 65.81, rel. 13
2θ 76.63, rel. 14
2θ 79.04, rel. 23

The following is a theoretical powder X-ray diffraction pattern of TiH5. It was derived from a DFT-relaxed cell (PBE, Alexandria), using Cu Kα X-rays.
Kinematic intensities with the Lorentz-polarization factor, no thermal factor.

Atomic structure:
```
TiH5
1.0
1.5298 -3.2279 0.0000
1.5298 3.2279 0.0000
0.0000 0.0000 3.0338
Ti H
1 5
Cartesian
0.0000 0.0000 0.0000
1.5298 2.2350 1.5169
1.5298 1.2300 0.0000
1.5298 0.0000 1.5169
1.5298 -1.2300 0.0000
1.5298 -2.2350 1.5169
```

Peak list (10 most intense, 10 to 80 degrees two-theta, by angle)
2θ 27.63, rel. 74
2θ 29.44, rel. 63
2θ 32.38, rel. 100
2θ 40.82, rel. 47
2θ 44.33, rel. 77
2θ 51.95, rel. 23
2θ 60.84, rel. 33
2θ 65.51, rel. 11
2θ 70.86, rel. 17
2θ 75.59, rel. 14

The following is a theoretical powder X-ray diffraction pattern of Ti4H7. It was derived from a DFT-relaxed cell (PBE, Alexandria), using Cu Kα X-rays.
Kinematic intensities with the Lorentz-polarization factor, no thermal factor.

Atomic structure:
```
Ti4H7
1.0
4.3795 0.0000 0.0000
0.0000 4.3795 0.0000
0.0000 0.0000 4.3795
Ti H
4 7
Cartesian
1.0762 1.0762 3.3032
1.0762 3.3032 1.0762
3.3032 1.0762 1.0762
3.3032 3.3032 3.3032
0.0000 0.0000 2.1897
0.0000 2.1897 0.0000
0.0000 2.1897 2.1897
2.1897 0.0000 0.0000
2.1897 0.0000 2.1897
2.1897 2.1897 0.0000
2.1897 2.1897 2.1897
```

Peak list (5 most intense, 10 to 80 degrees two-theta, by angle)
2θ 35.50, rel. 100
2θ 41.23, rel. 43
2θ 59.72, rel. 30
2θ 71.44, rel. 32
2θ 75.15, rel. 9

The following is a theoretical powder X-ray diffraction pattern of Ti5H2. It was derived from a DFT-relaxed cell (PBE, Alexandria), using Cu Kα X-rays.
Kinematic intensities with the Lorentz-polarization factor, no thermal factor.

Atomic structure:
```
Ti5H2
1.0
4.5606 0.0000 0.0000
0.0000 5.6261 0.0000
-2.2726 0.0000 6.9085
Ti H
10 4
Cartesian
0.0000 1.4073 0.0000
0.0000 4.2188 0.0000
-0.0018 1.4060 2.8209
-0.0018 4.2201 2.8209
-0.0397 0.0000 5.5069
0.0530 2.8130 5.5071
2.2350 2.8130 1.4015
2.3277 0.0000 1.4016
2.2898 1.4060 4.0877
2.2898 4.2201 4.0877
-0.1879 0.0000 1.3949
0.1875 2.8130 1.3958
2.1005 2.8130 5.5127
2.4759 0.0000 5.5136
```

Peak list (10 most intense, 10 to 80 degrees two-theta, by angle)
2θ 34.42, rel. 5
2θ 38.11, rel. 100
2θ 39.52, rel. 26
2θ 41.39, rel. 22
2θ 51.27, rel. 7
2θ 58.56, rel. 14
2θ 66.51, rel. 8
2θ 70.75, rel. 13
2θ 73.24, rel. 8
2θ 79.26, rel. 11

The following is a theoretical powder X-ray diffraction pattern of Ti4H. It was derived from a DFT-relaxed cell (PBE, Alexandria), using Cu Kα X-rays.
Kinematic intensities with the Lorentz-polarization factor, no thermal factor.

Atomic structure:
```
Ti4H
1.0
4.1253 0.0000 0.0000
0.0000 4.1253 0.0000
0.0000 0.0000 4.1253
Ti H
4 1
Cartesian
0.0000 0.0000 0.0000
0.0000 2.0627 2.0627
2.0627 0.0000 2.0627
2.0627 2.0627 0.0000
2.0627 2.0627 2.0627
```

Peak list (4 most intense, 10 to 80 degrees two-theta, by angle)
2θ 37.77, rel. 100
2θ 43.89, rel. 48
2θ 63.82, rel. 28
2θ 76.60, rel. 31

The following is a theoretical powder X-ray diffraction pattern of Ti8H. It was derived from a DFT-relaxed cell (PBE, Alexandria), using Cu Kα X-rays.
Kinematic intensities with the Lorentz-polarization factor, no thermal factor.

Atomic structure:
```
Ti8H
1.0
5.8840 0.0000 0.0000
-2.9420 5.0957 0.0000
0.0000 0.0000 4.6556
Ti H
8 1
Cartesian
0.0000 1.7356 1.1468
-1.4389 4.2279 1.1468
0.0000 3.3971 3.4840
1.5031 0.8678 3.5088
1.4389 4.2279 1.1468
2.9420 1.6986 1.1716
4.3809 0.8678 3.5088
2.9420 3.3601 3.5088
0.0000 0.0000 2.3278
```

Peak list (9 most intense, 10 to 80 degrees two-theta, by angle)
2θ 35.23, rel. 25
2θ 38.68, rel. 25
2θ 40.35, rel. 100
2θ 53.31, rel. 14
2θ 63.21, rel. 15
2θ 71.14, rel. 16
2θ 74.48, rel. 2
2θ 76.63, rel. 17
2θ 77.72, rel. 12

The following is a theoretical powder X-ray diffraction pattern of TiTlH. It was derived from a DFT-relaxed cell (PBE, Alexandria), using Cu Kα X-rays.
Kinematic intensities with the Lorentz-polarization factor, no thermal factor.

Atomic structure:
```
TiTlH
1.0
1.6092 -2.8047 0.0000
1.6092 2.8047 0.0000
0.0000 0.0000 9.6497
Ti Tl H
2 2 2
Cartesian
1.6092 1.8669 7.2373
1.6092 -1.8669 2.4124
1.6092 0.0000 0.0000
1.6092 0.0000 4.8248
1.6092 1.8759 2.4124
1.6092 -1.8759 7.2373
```

Peak list (10 most intense, 10 to 80 degrees two-theta, by angle)
2θ 18.39, rel. 47
2θ 31.91, rel. 17
2θ 32.06, rel. 35
2θ 37.08, rel. 39
2θ 37.23, rel. 100
2θ 49.97, rel. 21
2θ 56.96, rel. 14
2θ 67.17, rel. 14
2θ 70.06, rel. 15
2θ 70.20, rel. 12

The following is a theoretical powder X-ray diffraction pattern of Ti2TlH. It was derived from a DFT-relaxed cell (PBE, Alexandria), using Cu Kα X-rays.
Kinematic intensities with the Lorentz-polarization factor, no thermal factor.

Atomic structure:
```
Ti2TlH
1.0
1.7153 -7.1190 0.0000
1.7153 7.1190 0.0000
0.0000 0.0000 4.7885
Ti Tl H
4 2 2
Cartesian
1.7153 5.9822 2.3943
1.7153 3.3916 0.0519
1.7153 -3.3916 2.4461
1.7153 -5.9822 0.0000
1.7153 1.3425 2.3740
1.7153 -1.3425 4.7682
1.7153 4.2034 1.8055
1.7153 -4.2034 4.1998
```

Peak list (10 most intense, 10 to 80 degrees two-theta, by angle)
2θ 22.38, rel. 40
2θ 26.73, rel. 23
2θ 31.31, rel. 12
2θ 32.72, rel. 13
2θ 37.40, rel. 100
2θ 37.57, rel. 26
2θ 37.92, rel. 22
2θ 54.44, rel. 15
2θ 67.68, rel. 17
2θ 68.15, rel. 12